This entry pairs a crystal structure of YCoIrF2 with its calculated X-ray diffraction stick pattern. Radiation: λ = 1.5418 Å (Cu Kα). Structure: a DFT-relaxed cell (PBE+U, Alexandria).
Intensities are scaled so that the largest is 100.

Peak list (10 most intense, 2θ = 10–80°, in order of rising 2θ)
- 12.09°, I = 99
- 24.31°, I = 100
- 26.25°, I = 57
- 33.06°, I = 56
- 35.32°, I = 68
- 41.46°, I = 61
- 47.45°, I = 32
- 50.31°, I = 24
- 54.02°, I = 43
- 61.09°, I = 20

Structural model:
```
data_YCoIrF2
_chemical_formula_sum 'Y1 Co1 Ir1 F2'
_space_group_name_H-M_alt 'P 4/m m m'
_space_group_IT_number 123
_space_group_name_Hall '-P 4 2'
_cell_length_a 3.8322
_cell_length_b 3.8322
_cell_length_c 7.3222
_cell_angle_alpha 90.00
_cell_angle_beta 90.00
_cell_angle_gamma 90.00
loop_
_atom_site_label
_atom_site_type_symbol
_atom_site_fract_x
_atom_site_fract_y
_atom_site_fract_z
Y1 Y 0.0000 0.0000 0.0000
Co1 Co 0.0000 0.0000 0.5000
Ir1 Ir 0.5000 0.5000 0.0000
F1 F 0.0000 0.5000 0.5000
```